Entry 1:
The following is a theoretical XRD peak list of Na6TlCd3. It was derived from a crystal structure in Alexandria, relaxed with GGA-PBE, using a wavelength of 1.5418 Å.
Peak positions follow from Bragg's law for the DFT cell and can differ from measured ones.

Largest 10 diffraction maxima, low angle first, 15° ≤ 2θ ≤ 90°:
| Position (°2θ) | intensity |
| --- | --- |
| 18.2 | 57.3 |
| 19.2 | 74.5 |
| 21.5 | 32.8 |
| 30.8 | 28.8 |
| 33.1 | 70.8 |
| 34.0 | 96.9 |
| 34.1 | 100.0 |
| 35.1 | 72.5 |
| 36.6 | 25.6 |
| 59.7 | 37.4 |

Cell and atoms:
Cell lengths 9.2782, 5.4203, 11.6183 Å; angles 90.00, 108.54, 90.00 degrees
Sites, in units of the cell vectors:
Na: 0.0213 0.2500 0.4165
Na: 0.2031 0.2500 0.1908
Na: 0.2047 0.7500 0.9017
Na: 0.2092 0.7500 0.3775
Na: 0.3791 0.7500 0.6806
Na: 0.4299 0.7500 0.1922
Na: 0.5701 0.2500 0.8078
Na: 0.6209 0.2500 0.3194
Na: 0.7908 0.2500 0.6225
Na: 0.7953 0.2500 0.0983
Na: 0.7969 0.7500 0.8092
Na: 0.9787 0.7500 0.5835
Tl: 0.1852 0.2500 0.7194
Tl: 0.8148 0.7500 0.2806
Cd: 0.0040 0.2500 0.9155
Cd: 0.4102 0.2500 0.5002
Cd: 0.4148 0.2500 0.0114
Cd: 0.5852 0.7500 0.9886
Cd: 0.5898 0.7500 0.4998
Cd: 0.9960 0.7500 0.0845

=====

Entry 2:
The following is a theoretical XRD peak list of Pm2Y5Ho5. It was derived from a crystal structure in Alexandria, relaxed with GGA-PBE, using a wavelength of 1.5418 Å.
Peak positions follow from Bragg's law for the DFT cell and can differ from measured ones.

Largest 10 diffraction maxima, low angle first, 15° ≤ 2θ ≤ 90°:
| Position (°2θ) | intensity |
| --- | --- |
| 18.8 | 2.8 |
| 23.7 | 1.3 |
| 30.7 | 100.0 |
| 35.6 | 50.4 |
| 51.3 | 35.6 |
| 61.0 | 42.1 |
| 64.0 | 12.1 |
| 75.4 | 5.6 |
| 83.6 | 17.3 |
| 86.3 | 16.1 |

Cell and atoms:
Cell lengths 7.9719, 7.9719, 11.2663 Å; angles 115.09, 115.09, 36.87 degrees
Sites, in units of the cell vectors:
Pm: 0.0829 0.0829 0.2505
Pm: 0.9171 0.9171 0.7495
Y: 0.0000 0.0000 0.5000
Y: 0.1662 0.1662 0.9995
Y: 0.2491 0.2491 0.7486
Y: 0.7509 0.7509 0.2514
Y: 0.8338 0.8338 0.0005
Ho: 0.3331 0.3331 0.4996
Ho: 0.4166 0.4166 0.2502
Ho: 0.5000 0.5000 0.0000
Ho: 0.5834 0.5834 0.7498
Ho: 0.6669 0.6669 0.5004

=====

Entry 3:
The following is a theoretical XRD peak list of Zn2GaF8. It was derived from a crystal structure in Alexandria, relaxed with GGA-PBE, using a wavelength of 1.5418 Å.
Peak positions follow from Bragg's law for the DFT cell and can differ from measured ones.

Largest 10 diffraction maxima, low angle first, 15° ≤ 2θ ≤ 90°:
| Position (°2θ) | intensity |
| --- | --- |
| 16.7 | 9.9 |
| 17.9 | 100.0 |
| 20.5 | 22.5 |
| 27.2 | 24.0 |
| 28.5 | 24.4 |
| 31.5 | 9.9 |
| 31.8 | 10.4 |
| 41.6 | 25.3 |
| 42.1 | 20.6 |
| 48.3 | 9.3 |

Cell and atoms:
Cell lengths 3.0457, 5.5587, 9.5018 Å; angles 98.52, 90.22, 105.10 degrees
Sites, in units of the cell vectors:
Zn: 0.2185 0.4377 0.3430
Zn: 0.7815 0.5623 0.6570
Ga: 0.0000 0.0000 0.0000
F: 0.0652 0.1304 0.1969
F: 0.2005 0.3908 0.7291
F: 0.3449 0.6974 0.5453
F: 0.3965 0.7820 0.0286
F: 0.6036 0.2180 0.9714
F: 0.6551 0.3026 0.4547
F: 0.7995 0.6092 0.2709
F: 0.9348 0.8696 0.8031